# 1
Theoretical powder diffractogram
Compound: NbCo2
Radiation: Cu Ka
Structure: the PBE geometry in the Materials Project

Structure:
Lattice parameters (Å, degrees): 4.7815 4.7815 7.7651 90.00 90.00 120.00
Space group P6_3/mmc (No. 194)
Unique sites:
Nb 0.3333 0.6667 0.0641 [4 per cell]
Co 0.0000 0.0000 0.0000 [2 per cell]
Co 0.1687 0.3374 0.7500 [6 per cell]

Most intense lines, 15 to 90 degrees two-theta, low angle first:
d = 2.391 Å, rel. 45, hkl 1 1 0
d = 2.195 Å, rel. 85, hkl 1 0 3
d = 2.070 Å, rel. 13, hkl 2 0 0
d = 2.036 Å, rel. 100, hkl 1 1 2
d = 2.001 Å, rel. 73, hkl 2 0 1
d = 1.941 Å, rel. 12, hkl 0 0 4
d = 1.339 Å, rel. 31, hkl 2 1 3
d = 1.301 Å, rel. 21, hkl 3 0 2
d = 1.242 Å, rel. 27, hkl 2 0 5
d = 1.195 Å, rel. 23, hkl 2 2 0

# 2
Theoretical powder diffractogram
Compound: NbCo2
Radiation: Cu Ka
Structure: the PBE geometry in the Materials Project

Structure:
Lattice parameters (Å, degrees): 6.7427 6.7427 6.7427 90.00 90.00 90.00
Space group Fd-3m (No. 227, origin choice 2)
Unique sites:
Nb 0.1250 0.1250 0.1250 [8 per cell]
Co 0.0000 0.0000 0.5000 [16 per cell]

Most intense lines, 15 to 90 degrees two-theta, low angle first:
d = 2.384 Å, rel. 44, hkl 2 2 0
d = 2.033 Å, rel. 100, hkl 3 1 1
d = 1.946 Å, rel. 26, hkl 2 2 2
d = 1.686 Å, rel. 1, hkl 4 0 0
d = 1.376 Å, rel. 15, hkl 4 2 2
d = 1.298 Å, rel. 28, hkl 5 1 1
d = 1.192 Å, rel. 23, hkl 4 4 0

# 3
Theoretical powder diffractogram
Compound: NbCo
Radiation: Cu Ka
Structure: the PBE geometry in the Materials Project

Structure:
Lattice parameters (Å, degrees): 3.0820 3.0820 3.0820 90.00 90.00 90.00
Space group Pm-3m (No. 221)
Unique sites:
Nb 0.0000 0.0000 0.0000 [1 per cell]
Co 0.5000 0.5000 0.5000 [1 per cell]

Most intense lines, 15 to 90 degrees two-theta, low angle first:
d = 3.082 Å, rel. 6, hkl 1 0 0
d = 2.179 Å, rel. 100, hkl 1 1 0
d = 1.779 Å, rel. 2, hkl 1 1 1
d = 1.541 Å, rel. 16, hkl 2 0 0
d = 1.378 Å, rel. 2, hkl 2 1 0
d = 1.258 Å, rel. 31, hkl 2 1 1

# 4
Theoretical powder diffractogram
Compound: NbCo
Radiation: Cu Ka
Structure: the PBE geometry in the Materials Project

Structure:
Lattice parameters (Å, degrees): 4.9408 4.9408 52.5404 90.00 90.00 120.00
Space group R-3m (No. 166, hexagonal axes)
Unique sites:
Nb 0.0000 0.0000 0.0000 [3 per cell]
Nb 0.0000 0.0000 0.0834 [6 per cell]
Nb 0.0000 0.0000 0.1719 [6 per cell]
Nb 0.0000 0.0000 0.2243 [6 per cell]
Nb 0.0000 0.0000 0.2745 [6 per cell]
Nb 0.0000 0.0000 0.3262 [6 per cell]
Nb 0.0000 0.0000 0.4176 [6 per cell]
Co 0.0000 0.0000 0.5000 [3 per cell]
Co 0.0025 0.5013 0.2044 [18 per cell]
Co 0.0083 0.5042 0.2939 [18 per cell]

Most intense lines, 15 to 90 degrees two-theta, low angle first:
d = 2.470 Å, rel. 84, hkl 1 1 0
d = 2.239 Å, rel. 57, hkl 0 1 20
d = 2.189 Å, rel. 22, hkl 0 0 24
d = 2.152 Å, rel. 100, hkl 1 1 12
d = 2.132 Å, rel. 36, hkl 2 0 2
d = 2.085 Å, rel. 50, hkl 1 0 22
d = 1.981 Å, rel. 38, hkl 0 2 10
d = 1.339 Å, rel. 23, hkl 2 1 22
d = 1.256 Å, rel. 23, hkl 1 1 36
d = 1.235 Å, rel. 32, hkl 2 2 0

# 5
Theoretical powder diffractogram
Compound: NbCo2
Radiation: Cu Ka
Structure: the PBE geometry in the Materials Project

Structure:
Lattice parameters (Å, degrees): 4.7771 4.7771 15.5897 90.00 90.00 120.00
Space group P6_3/mmc (No. 194)
Unique sites:
Nb 0.0000 0.0000 0.0930 [4 per cell]
Nb 0.3333 0.6667 0.1561 [4 per cell]
Co 0.0000 0.5000 0.0000 [6 per cell]
Co 0.1656 0.3311 0.7500 [6 per cell]
Co 0.3333 0.6667 0.6254 [4 per cell]

Most intense lines, 15 to 90 degrees two-theta, low angle first:
d = 2.389 Å, rel. 45, hkl 1 1 0
d = 2.200 Å, rel. 63, hkl 1 0 6
d = 2.051 Å, rel. 19, hkl 2 0 1
d = 2.037 Å, rel. 100, hkl 1 1 4
d = 1.999 Å, rel. 54, hkl 2 0 2
d = 1.961 Å, rel. 16, hkl 1 0 7
d = 1.340 Å, rel. 26, hkl 2 1 6
d = 1.300 Å, rel. 25, hkl 0 0 12
d = 1.245 Å, rel. 20, hkl 2 0 10
d = 1.194 Å, rel. 23, hkl 2 2 0

# 6
Theoretical powder diffractogram
Compound: NbCoP
Radiation: Cu Ka
Structure: the PBE geometry in the Materials Project

Structure:
Lattice parameters (Å, degrees): 6.1412 3.6049 6.9627 90.00 90.00 90.00
Space group Pnma (No. 62)
Unique sites:
Nb 0.0258 0.2500 0.1731 [4 per cell]
Co 0.1466 0.2500 0.5616 [4 per cell]
P 0.2211 0.7500 0.3802 [4 per cell]

Most intense lines, 15 to 90 degrees two-theta, low angle first:
d = 2.338 Å, rel. 27, hkl 2 1 0
d = 2.319 Å, rel. 100, hkl 1 1 2
d = 2.303 Å, rel. 17, hkl 2 0 2
d = 2.216 Å, rel. 82, hkl 2 1 1
d = 2.171 Å, rel. 38, hkl 1 0 3
d = 1.964 Å, rel. 27, hkl 3 0 1
d = 1.951 Å, rel. 20, hkl 0 1 3
d = 1.802 Å, rel. 33, hkl 0 2 0
d = 1.387 Å, rel. 17, hkl 1 2 3
d = 1.245 Å, rel. 20, hkl 3 1 4